This entry pairs a crystal structure of Nd2Si4Tc3 with its calculated powder XRD pattern. Radiation: Cu Kα X-rays. Structure: a GGA-PBE-relaxed structure.

```
data_Nd2Si4Tc3
_cell_length_a 5.572
_cell_length_b 15.142
_cell_length_c 7.498
_cell_angle_alpha 90.00
_cell_angle_beta 90.00
_cell_angle_gamma 90.00
_symmetry_space_group_name_H-M 'C m c e'
_symmetry_Int_Tables_number 64
_symmetry_space_group_name_Hall '-C 2ac 2'
loop_
_atom_site_label
_atom_site_fract_x
_atom_site_fract_y
_atom_site_fract_z
Nd1 0.000 0.107 0.096
Si1 0.000 0.181 0.481
Si2 0.250 0.060 0.750
Tc1 0.000 0.000 0.500
Tc2 0.250 0.225 0.750
```

Main lines, by intensity (5° ≤ 2θ ≤ 70°):
2θ/deg, d (Å), Rel. int., hkl
35.81, 2.508, 100.0, 1 5 1
40.33, 2.236, 66.4, 2 0 2
33.85, 2.648, 49.3, 1 3 2
36.39, 2.469, 47.9, 2 2 1
37.91, 2.373, 45.5, 0 2 3
26.53, 3.360, 42.9, 0 2 2